(1)
Theoretical powder diffractogram of YRh2Pb for λ = 1.5418 Å (Cu Kα), from a structure optimized by DFT (GGA-PBE).
Kinematic intensities with the Lorentz-polarization factor, no thermal factor.

abc: 4.7793 4.7793 4.7793
angles: 60.00 60.00 60.00
Positions (direct):
Y: 0.0000 0.0000 0.0000
Rh: 0.2500 0.2500 0.2500
Rh: 0.7500 0.7500 0.7500
Pb: 0.5000 0.5000 0.5000

Principal peaks in the range 15 to 90 degrees two-theta, low angle first:
| d/Å | intensity |
| --- | --- |
| 3.902 | 11.3 |
| 3.379 | 3.3 |
| 2.390 | 100.0 |
| 2.038 | 6.7 |
| 1.690 | 17.3 |
| 1.551 | 2.9 |
| 1.380 | 35.1 |
| 1.301 | 2.3 |
| 1.195 | 11.1 |
| 1.142 | 2.5 |

(2)
Theoretical powder diffractogram of Cr3Fe3SiAs2 for λ = 1.5418 Å (Cu Kα), from a structure optimized by DFT (GGA-PBE).
Kinematic intensities with the Lorentz-polarization factor, no thermal factor.

abc: 6.0251 6.0251 3.6112
angles: 90.00 90.00 120.00
Positions (direct):
Cr: 0.0000 0.5905 0.0000
Cr: 0.4095 0.4095 0.0000
Cr: 0.5905 0.0000 0.0000
Fe: 0.0000 0.2428 0.5000
Fe: 0.2428 0.0000 0.5000
Fe: 0.7572 0.7572 0.5000
Si: 0.0000 0.0000 0.0000
As: 0.3333 0.6667 0.5000
As: 0.6667 0.3333 0.5000

Principal peaks in the range 15 to 90 degrees two-theta, low angle first:
| d/Å | intensity |
| --- | --- |
| 3.611 | 16.3 |
| 2.313 | 100.0 |
| 2.115 | 77.0 |
| 1.972 | 48.5 |
| 1.806 | 29.9 |
| 1.739 | 25.6 |
| 1.731 | 31.0 |
| 1.332 | 23.9 |
| 1.253 | 16.5 |
| 1.136 | 19.3 |

(3)
Theoretical powder diffractogram of Nd4GeO8 for λ = 1.5418 Å (Cu Kα), from a structure optimized by DFT (GGA-PBE).
Kinematic intensities with the Lorentz-polarization factor, no thermal factor.

abc: 18.2628 7.5230 5.7879
angles: 90.00 90.00 90.00
Positions (direct):
Nd: 0.0143 0.2500 0.0206
Nd: 0.1022 0.0092 0.5197
Nd: 0.1022 0.4908 0.5197
Nd: 0.2170 0.2500 0.0414
Nd: 0.2830 0.7500 0.5414
Nd: 0.3978 0.5092 0.0197
Nd: 0.3978 0.9908 0.0197
Nd: 0.4857 0.7500 0.5206
Nd: 0.5143 0.2500 0.4794
Nd: 0.6022 0.0092 0.9803
Nd: 0.6022 0.4908 0.9803
Nd: 0.7170 0.2500 0.4586
Nd: 0.7830 0.7500 0.9586
Nd: 0.8978 0.5092 0.4803
Nd: 0.8978 0.9908 0.4803
Nd: 0.9857 0.7500 0.9794
Ge: 0.1910 0.7500 0.0078
Ge: 0.3090 0.2500 0.5078
Ge: 0.6910 0.7500 0.4922
Ge: 0.8090 0.2500 0.9922
O: 0.0060 0.5189 0.2562
O: 0.0060 0.9811 0.2562
O: 0.1159 0.2500 0.2716
O: 0.1159 0.7500 0.8074
O: 0.1252 0.2500 0.7752
O: 0.1616 0.7500 0.3044
O: 0.2438 0.5606 0.9268
O: 0.2438 0.9394 0.9268
O: 0.2562 0.0606 0.4268
O: 0.2562 0.4394 0.4268
O: 0.3384 0.2500 0.8044
O: 0.3748 0.7500 0.2752
O: 0.3841 0.2500 0.3074
O: 0.3841 0.7500 0.7716
O: 0.4940 0.0189 0.7562
O: 0.4940 0.4811 0.7562
O: 0.5060 0.5189 0.2438
O: 0.5060 0.9811 0.2438
O: 0.6159 0.2500 0.2284
O: 0.6159 0.7500 0.6926
O: 0.6252 0.2500 0.7248
O: 0.6616 0.7500 0.1956
O: 0.7438 0.5606 0.5732
O: 0.7438 0.9394 0.5732
O: 0.7562 0.0606 0.0732
O: 0.7562 0.4394 0.0732
O: 0.8384 0.2500 0.6956
O: 0.8748 0.7500 0.2248
O: 0.8841 0.2500 0.1926
O: 0.8841 0.7500 0.7284
O: 0.9940 0.0189 0.7438
O: 0.9940 0.4811 0.7438

Principal peaks in the range 15 to 90 degrees two-theta, low angle first:
| d/Å | intensity |
| --- | --- |
| 3.108 | 100.0 |
| 3.089 | 97.9 |
| 2.903 | 29.6 |
| 2.894 | 33.7 |
| 2.050 | 45.5 |
| 1.881 | 17.3 |
| 1.832 | 16.7 |
| 1.708 | 35.5 |
| 1.706 | 15.2 |
| 1.607 | 29.8 |

(4)
Theoretical powder diffractogram of BaNa2O2 for λ = 1.5418 Å (Cu Kα), from a structure optimized by DFT (GGA-PBE).
Kinematic intensities with the Lorentz-polarization factor, no thermal factor.

abc: 6.8701 6.8701 7.8733
angles: 90.00 90.00 147.85
Positions (direct):
Ba: 0.1929 0.8071 0.5000
Ba: 0.8071 0.1929 0.0000
Na: 0.0564 0.9436 0.9564
Na: 0.4242 0.5758 0.7097
Na: 0.5758 0.4242 0.2097
Na: 0.9436 0.0564 0.4564
O: 0.1884 0.8116 0.1551
O: 0.4556 0.5444 0.9964
O: 0.5444 0.4556 0.4964
O: 0.8116 0.1884 0.6551

Principal peaks in the range 15 to 90 degrees two-theta, low angle first:
| d/Å | intensity |
| --- | --- |
| 5.059 | 69.5 |
| 3.937 | 73.5 |
| 3.316 | 100.0 |
| 3.044 | 67.1 |
| 2.878 | 58.1 |
| 2.703 | 46.5 |
| 2.324 | 42.3 |
| 2.169 | 33.4 |
| 2.132 | 38.7 |
| 1.901 | 41.3 |

(5)
Theoretical powder diffractogram of La3Te4 for λ = 1.5418 Å (Cu Kα), from a structure optimized by DFT (GGA-PBE).
Kinematic intensities with the Lorentz-polarization factor, no thermal factor.

abc: 8.3884 8.3884 8.3884
angles: 109.47 109.47 109.47
Positions (direct):
La: 0.1250 0.7500 0.8750
La: 0.2500 0.6250 0.3750
La: 0.3750 0.2500 0.6250
La: 0.6250 0.3750 0.2500
La: 0.7500 0.8750 0.1250
La: 0.8750 0.1250 0.7500
Te: 0.0000 0.3476 0.5000
Te: 0.0000 0.8476 0.5000
Te: 0.1524 0.1524 0.1524
Te: 0.3476 0.5000 0.0000
Te: 0.5000 0.0000 0.3476
Te: 0.5000 0.0000 0.8476
Te: 0.6524 0.6524 0.6524
Te: 0.8476 0.5000 0.0000

Principal peaks in the range 15 to 90 degrees two-theta, low angle first:
| d/Å | intensity |
| --- | --- |
| 3.063 | 100.0 |
| 2.589 | 72.9 |
| 2.166 | 15.5 |
| 2.065 | 10.9 |
| 1.977 | 16.3 |
| 1.900 | 17.2 |
| 1.571 | 28.6 |
| 1.532 | 11.6 |
| 1.495 | 15.4 |
| 1.318 | 15.6 |

(6)
Theoretical powder diffractogram of V2CrTc for λ = 1.5418 Å (Cu Kα), from a structure optimized by DFT (GGA-PBE).
Kinematic intensities with the Lorentz-polarization factor, no thermal factor.

abc: 4.2051 4.2051 4.2051
angles: 60.00 60.00 60.00
Positions (direct):
V: 0.2500 0.2500 0.2500
V: 0.7500 0.7500 0.7500
Cr: 0.0000 0.0000 0.0000
Tc: 0.5000 0.5000 0.5000

Principal peaks in the range 15 to 90 degrees two-theta, low angle first:
| d/Å | intensity |
| --- | --- |
| 3.433 | 8.8 |
| 2.973 | 6.2 |
| 2.103 | 100.0 |
| 1.793 | 4.6 |
| 1.717 | 1.7 |
| 1.487 | 15.2 |
| 1.364 | 1.9 |
| 1.330 | 2.2 |
| 1.214 | 29.6 |
| 1.144 | 1.5 |

(7)
Theoretical powder diffractogram of Hf4CoP for λ = 1.5418 Å (Cu Kα), from a structure optimized by DFT (GGA-PBE).
Kinematic intensities with the Lorentz-polarization factor, no thermal factor.

abc: 6.3567 6.3567 5.3344
angles: 90.00 90.00 90.00
Positions (direct):
Hf: 0.1571 0.3310 0.0000
Hf: 0.1571 0.6690 0.5000
Hf: 0.3310 0.1571 0.5000
Hf: 0.3310 0.8429 0.0000
Hf: 0.6690 0.1571 0.0000
Hf: 0.6690 0.8429 0.5000
Hf: 0.8429 0.3310 0.5000
Hf: 0.8429 0.6690 0.0000
Co: 0.0000 0.0000 0.2500
Co: 0.0000 0.0000 0.7500
P: 0.5000 0.5000 0.2500
P: 0.5000 0.5000 0.7500

Principal peaks in the range 15 to 90 degrees two-theta, low angle first:
| d/Å | intensity |
| --- | --- |
| 3.178 | 8.6 |
| 2.667 | 19.4 |
| 2.509 | 100.0 |
| 2.294 | 10.8 |
| 2.043 | 16.7 |
| 2.010 | 19.1 |
| 1.508 | 21.1 |
| 1.481 | 16.5 |
| 1.306 | 14.0 |
| 1.153 | 9.9 |

Repeat the seventh record exactly.
Theoretical powder diffractogram of Hf4CoP for λ = 1.5418 Å (Cu Kα), from a structure optimized by DFT (GGA-PBE).
Kinematic intensities with the Lorentz-polarization factor, no thermal factor.

abc: 6.3567 6.3567 5.3344
angles: 90.00 90.00 90.00
Positions (direct):
Hf: 0.1571 0.3310 0.0000
Hf: 0.1571 0.6690 0.5000
Hf: 0.3310 0.1571 0.5000
Hf: 0.3310 0.8429 0.0000
Hf: 0.6690 0.1571 0.0000
Hf: 0.6690 0.8429 0.5000
Hf: 0.8429 0.3310 0.5000
Hf: 0.8429 0.6690 0.0000
Co: 0.0000 0.0000 0.2500
Co: 0.0000 0.0000 0.7500
P: 0.5000 0.5000 0.2500
P: 0.5000 0.5000 0.7500

Principal peaks in the range 15 to 90 degrees two-theta, low angle first:
| d/Å | intensity |
| --- | --- |
| 3.178 | 8.6 |
| 2.667 | 19.4 |
| 2.509 | 100.0 |
| 2.294 | 10.8 |
| 2.043 | 16.7 |
| 2.010 | 19.1 |
| 1.508 | 21.1 |
| 1.481 | 16.5 |
| 1.306 | 14.0 |
| 1.153 | 9.9 |